(1)
This entry pairs a crystal structure of Te5P3 with its simulated PXRD pattern. Radiation: λ = 1.5418 Å (Cu Kα). Structure: a PBE-relaxed structure.
Intensities are scaled so that the largest is 100.

Principal peaks in the range 15° ≤ 2θ ≤ 90°, in order of rising 2θ:
- 2θ = 17.86°, I = 49.2, hkl 0 1 1
- 2θ = 20.34°, I = 45.7, hkl 1 0 -2
- 2θ = 22.11°, I = 100.0, hkl 1 1 0
- 2θ = 25.65°, I = 45.6, hkl 2 -2 0
- 2θ = 26.08°, I = 57.7, hkl 1 -2 2
- 2θ = 26.23°, I = 65.5, hkl 0 1 2
- 2θ = 27.42°, I = 56.2, hkl 2 -2 1
- 2θ = 28.18°, I = 52.7, hkl 0 1 -3
- 2θ = 31.31°, I = 61.1, hkl 1 -3 1
- 2θ = 34.70°, I = 42.7, hkl -2 1 3

Cell and atoms:
a = 7.795 Å, b = 8.624 Å, c = 9.664 Å
α = 102.13°, β = 98.77°, γ = 116.87°
Space group P1 (No. 1)
One atom of each set of equivalent atoms:
Te: 0.000 0.000 0.000 x1
Te: 0.008 0.558 0.769 x1
Te: 0.081 0.610 0.165 x1
Te: 0.301 0.316 0.787 x1
Te: 0.369 0.533 0.407 x1
Te: 0.474 0.164 0.406 x1
Te: 0.573 0.144 0.983 x1
Te: 0.590 0.771 0.163 x1
Te: 0.700 0.949 0.584 x1
Te: 0.926 0.643 0.404 x1
P: 0.227 0.008 0.810 x1
P: 0.557 0.404 0.278 x1
P: 0.606 0.858 0.931 x1
P: 0.738 0.083 0.373 x1
P: 0.859 0.652 0.970 x1
P: 0.959 0.257 0.804 x1

---

(2)
This entry pairs a crystal structure of Ti4ZnO8 with its simulated PXRD pattern. Radiation: λ = 1.5418 Å (Cu Kα). Structure: a PBE-relaxed structure.
Intensities are scaled so that the largest is 100.

Principal peaks in the range 15° ≤ 2θ ≤ 90°, in order of rising 2θ:
- 2θ = 15.88°, I = 100.0, hkl 2 0 0
- 2θ = 28.63°, I = 41.0, hkl 2 0 -3
- 2θ = 28.97°, I = 33.7, hkl 4 0 -3
- 2θ = 32.07°, I = 57.4, hkl 4 0 0
- 2θ = 35.52°, I = 49.6, hkl 1 1 1
- 2θ = 36.46°, I = 38.5, hkl 0 0 3
- 2θ = 41.45°, I = 34.8, hkl 3 1 -3
- 2θ = 45.85°, I = 27.2, hkl 5 1 -1
- 2θ = 49.51°, I = 37.6, hkl 5 1 -4
- 2θ = 64.41°, I = 30.9, hkl 1 1 4

Cell and atoms:
a = 14.618 Å, b = 2.954 Å, c = 9.681 Å
α = 90.00°, β = 130.22°, γ = 90.00°
Space group Cm (No. 8)
One atom of each set of equivalent atoms:
Ti: 0.000 0.000 0.000 x2
Ti: 0.016 0.500 0.350 x2
Ti: 0.288 0.500 0.266 x2
Ti: 0.305 0.000 0.633 x2
Zn: 0.496 0.000 0.640 x2
O: 0.000 0.000 0.493 x2
O: 0.018 0.000 0.216 x2
O: 0.121 0.500 0.084 x2
O: 0.192 0.500 0.549 x2
O: 0.302 0.000 0.423 x2
O: 0.337 0.000 0.193 x2
O: 0.381 0.000 0.885 x2
O: 0.450 0.500 0.740 x2

---

(3)
This entry pairs a crystal structure of CsAs2 with its simulated PXRD pattern. Radiation: λ = 1.5418 Å (Cu Kα). Structure: a PBE-relaxed structure.
Intensities are scaled so that the largest is 100.

Principal peaks in the range 15° ≤ 2θ ≤ 90°, in order of rising 2θ:
- 2θ = 19.06°, I = 59.2, hkl 1 0 1
- 2θ = 26.49°, I = 92.6, hkl 1 1 2
- 2θ = 27.45°, I = 89.8, hkl 0 1 3
- 2θ = 28.08°, I = 72.7, hkl 0 2 2
- 2θ = 29.65°, I = 100.0, hkl 1 2 1
- 2θ = 30.46°, I = 87.8, hkl 1 0 3
- 2θ = 34.68°, I = 71.1, hkl 2 0 0
- 2θ = 35.08°, I = 56.2, hkl 0 3 1
- 2θ = 50.15°, I = 68.6, hkl 2 3 1
- 2θ = 51.83°, I = 64.9, hkl 1 3 4

Cell and atoms:
a = 5.173 Å, b = 7.905 Å, c = 10.693 Å
α = 90.00°, β = 90.00°, γ = 90.00°
Space group Imma (No. 74)
One atom of each set of equivalent atoms:
Cs: 0.000 0.250 0.046 x4
As: 0.000 0.098 0.711 x8